No. 1
Computed X-ray powder pattern
Compound: Pr8ZnGa3I4
Radiation: Cu Kα, 1.54184 Å
Structure: the PBE geometry in Alexandria
Kinematic intensities with the Lorentz-polarization factor, no thermal factor.

Largest 10 diffraction maxima, sorted by position, 5 to 70 degrees two-theta:
- 28.2 deg, I = 100.0, (4 0 0)
- 30.5 deg, I = 8.5, (2 2 1)
- 39.2 deg, I = 35.4, (2 2 2)
- 41.3 deg, I = 37.2, (0 4 0)
- 50.6 deg, I = 6.5, (8 0 -4)
- 50.7 deg, I = 12.9, (4 4 0)
- 55.1 deg, I = 6.9, (6 2 1)
- 58.2 deg, I = 11.0, (8 0 0)
- 64.4 deg, I = 12.3, (0 4 4)
- 67.3 deg, I = 10.9, (10 2 -2)

Unit cell a=15.167 b=8.739 c=9.230 alpha=90.00 beta=123.28 gamma=90.00
Space group C2/m (No. 12)
Asymmetric unit:
1 Pr 0.012 0.248 0.284
2 Pr 0.238 0.000 0.713
3 Pr 0.240 0.500 0.717
4 Zn 0.000 0.500 0.500
5 Ga 0.000 0.000 0.500
6 Ga 0.250 0.250 0.500
7 I 0.000 0.000 0.000
8 I 0.000 0.500 0.000
9 I 0.250 0.250 0.000

No. 2
Computed X-ray powder pattern
Compound: Pu3GaI8
Radiation: Cu Kα, 1.54184 Å
Structure: the PBE geometry in Alexandria
Kinematic intensities with the Lorentz-polarization factor, no thermal factor.

Largest 10 diffraction maxima, sorted by position, 5 to 70 degrees two-theta:
- 11.6 deg, I = 72.1, (0 0 2)
- 12.6 deg, I = 37.8, (1 0 1)
- 25.4 deg, I = 97.5, (2 0 2)
- 28.6 deg, I = 100.0, (2 0 3)
- 32.6 deg, I = 32.7, (2 0 4)
- 37.2 deg, I = 58.1, (2 0 5)
- 39.5 deg, I = 72.3, (2 2 0)
- 42.2 deg, I = 29.8, (2 0 6)
- 47.5 deg, I = 38.7, (0 0 8)
- 63.5 deg, I = 51.2, (2 2 8)

Unit cell a=9.1325 b=9.1325 c=15.2849 alpha=90.00 beta=90.00 gamma=120.00
Space group P6_3mc (No. 186)
Asymmetric unit:
1 Pu 0.1667 0.3334 0.0000
2 Ga 0.3333 0.6667 0.2504
3 I 0.0000 0.0000 0.1191
4 I 0.0111 0.5056 0.1198
5 I 0.1623 0.3246 0.3839
6 I 0.3333 0.6667 0.8808

No. 3
Computed X-ray powder pattern
Compound: PuGaI4
Radiation: Cu Kα, 1.54184 Å
Structure: the PBE geometry in Alexandria
Kinematic intensities with the Lorentz-polarization factor, no thermal factor.

Largest 10 diffraction maxima, sorted by position, 5 to 70 degrees two-theta:
- 10.8 deg, I = 28.8, (0 0 1)
- 11.9 deg, I = 66.7, (1 0 0)
- 24.5 deg, I = 43.9, (1 0 -2)
- 25.5 deg, I = 100.0, (1 1 1)
- 32.1 deg, I = 23.8, (2 0 -2)
- 32.8 deg, I = 18.5, (2 1 -1)
- 33.2 deg, I = 35.1, (2 1 1)
- 38.3 deg, I = 37.7, (0 1 3)
- 39.5 deg, I = 19.1, (0 2 0)
- 42.8 deg, I = 30.6, (3 1 -1)

Unit cell a=7.416 b=4.566 c=8.220 alpha=90.00 beta=91.34 gamma=90.00
Space group P2/m (No. 10)
Asymmetric unit:
1 Pu 0.000 0.000 0.000
2 Ga 0.000 0.500 0.500
3 I 0.233 0.000 0.698
4 I 0.234 0.500 0.159

No. 4
Computed X-ray powder pattern
Compound: RbGaI2
Radiation: Cu Kα, 1.54184 Å
Structure: the PBE geometry in Alexandria
Kinematic intensities with the Lorentz-polarization factor, no thermal factor.

Largest 10 diffraction maxima, sorted by position, 5 to 70 degrees two-theta:
- 23.4 deg, I = 100.0, (0 1 3)
- 29.8 deg, I = 95.5, (1 0 6)
- 36.5 deg, I = 55.9, (1 1 0)
- 38.4 deg, I = 21.1, (0 1 9)
- 43.8 deg, I = 18.4, (2 0 3)
- 47.8 deg, I = 25.1, (0 2 6)
- 57.6 deg, I = 20.3, (1 1 12)
- 58.3 deg, I = 15.6, (1 2 3)
- 61.7 deg, I = 23.2, (2 1 6)
- 65.8 deg, I = 9.7, (3 0 0)

Unit cell a=4.9198 b=4.9198 c=25.2974 alpha=90.00 beta=90.00 gamma=120.00
Space group P3_221 (No. 154)
Asymmetric unit:
1 Rb 0.0000 0.9991 0.3333
2 Ga 0.0000 0.0054 0.8333
3 I 0.3311 0.6640 0.4266

No. 5
Computed X-ray powder pattern
Compound: Rb2GaI7
Radiation: Cu Kα, 1.54184 Å
Structure: the PBE geometry in Alexandria
Kinematic intensities with the Lorentz-polarization factor, no thermal factor.

Largest 10 diffraction maxima, sorted by position, 5 to 70 degrees two-theta:
- 14.1 deg, I = 16.2, (0 0 2)
- 14.6 deg, I = 28.7, (1 1 0)
- 25.2 deg, I = 100.0, (2 0 2)
- 28.5 deg, I = 42.5, (0 0 4)
- 29.5 deg, I = 81.9, (2 2 0)
- 41.4 deg, I = 58.6, (2 2 4)
- 42.1 deg, I = 29.4, (4 0 0)
- 49.7 deg, I = 27.2, (4 2 2)
- 51.6 deg, I = 29.4, (4 0 4)
- 67.2 deg, I = 15.6, (2 2 8)

Unit cell a=8.577 b=8.577 c=12.538 alpha=90.00 beta=90.00 gamma=90.00
Space group I4/mmm (No. 139)
Asymmetric unit:
1 Rb 0.000 0.500 0.250
2 Ga 0.000 0.000 0.000
3 I 0.000 0.000 0.225
4 I 0.000 0.000 0.500
5 I 0.235 0.235 0.000

No. 6
Computed X-ray powder pattern
Compound: Rb2SrGaI5
Radiation: Cu Kα, 1.54184 Å
Structure: the PBE geometry in Alexandria
Kinematic intensities with the Lorentz-polarization factor, no thermal factor.

Largest 10 diffraction maxima, sorted by position, 5 to 70 degrees two-theta:
- 21.2 deg, I = 31.2, (1 1 2)
- 24.4 deg, I = 100.0, (1 1 3)
- 25.8 deg, I = 36.9, (0 6 1)
- 27.5 deg, I = 23.9, (0 6 2)
- 27.6 deg, I = 19.5, (1 5 0)
- 28.2 deg, I = 23.5, (0 2 5)
- 28.3 deg, I = 23.0, (1 1 4)
- 36.0 deg, I = 32.8, (2 0 0)
- 38.4 deg, I = 17.2, (1 7 3)
- 38.9 deg, I = 20.8, (1 5 5)

Unit cell a=4.993 b=21.152 c=16.613 alpha=90.00 beta=90.00 gamma=90.00
Space group Cmc2_1 (No. 36)
Asymmetric unit:
1 Rb 0.000 0.087 0.000
2 Rb 0.000 0.130 0.646
3 Sr 0.000 0.225 0.373
4 Ga 0.000 0.454 0.795
5 I 0.000 0.075 0.412
6 I 0.000 0.262 0.009
7 I 0.000 0.302 0.744
8 I 0.000 0.377 0.333
9 I 0.000 0.499 0.114

No. 7
Computed X-ray powder pattern
Compound: Rb2TbGaI6
Radiation: Cu Kα, 1.54184 Å
Structure: the PBE geometry in Alexandria
Kinematic intensities with the Lorentz-polarization factor, no thermal factor.

Largest 10 diffraction maxima, sorted by position, 5 to 70 degrees two-theta:
- 14.3 deg, I = 52.3, (0 1 2)
- 23.8 deg, I = 99.9, (2 -1 3)
- 24.9 deg, I = 36.5, (2 0 2)
- 28.8 deg, I = 100.0, (0 2 4)
- 31.5 deg, I = 25.3, (2 1 1)
- 32.3 deg, I = 57.3, (2 -1 6)
- 35.6 deg, I = 48.6, (3 0 0)
- 41.1 deg, I = 27.8, (2 0 8)
- 43.1 deg, I = 33.5, (1 1 9)
- 43.3 deg, I = 35.8, (1 3 1)

Unit cell a=8.7438 b=8.7438 c=21.5390 alpha=90.00 beta=90.00 gamma=120.00
Space group R3 (No. 146, hexagonal axes)
Asymmetric unit:
1 Rb 0.0000 0.0000 0.0000
2 Rb 0.0000 0.0000 0.4930
3 Tb 0.0000 0.0000 0.7155
4 Ga 0.0000 0.0000 0.2191
5 I 0.0128 0.4250 0.4613
6 I 0.0922 0.7379 0.2981

No. 8
Computed X-ray powder pattern
Compound: Rb2UGaI6
Radiation: Cu Kα, 1.54184 Å
Structure: the PBE geometry in Alexandria
Kinematic intensities with the Lorentz-polarization factor, no thermal factor.

Largest 10 diffraction maxima, sorted by position, 5 to 70 degrees two-theta:
- 11.9 deg, I = 24.6, (0 1 1)
- 13.9 deg, I = 63.3, (0 2 0)
- 23.9 deg, I = 21.1, (0 2 2)
- 24.6 deg, I = 27.6, (2 2 0)
- 28.1 deg, I = 100.0, (0 4 0)
- 28.9 deg, I = 12.6, (2 1 2)
- 31.5 deg, I = 31.0, (1 4 1)
- 40.1 deg, I = 42.3, (2 4 2)
- 40.9 deg, I = 15.1, (4 0 0)
- 50.4 deg, I = 13.2, (4 4 0)

Unit cell a=8.824 b=12.705 c=9.185 alpha=90.00 beta=90.00 gamma=90.00
Space group Pmmn (No. 59, origin choice 2)
Asymmetric unit:
1 Rb 0.250 0.049 0.193
2 U 0.250 0.750 0.774
3 Ga 0.250 0.250 0.721
4 I 0.006 0.750 0.023
5 I 0.014 0.250 0.449
6 I 0.250 0.504 0.780

No. 9
Computed X-ray powder pattern
Compound: Rb2ZrGaI6
Radiation: Cu Kα, 1.54184 Å
Structure: the PBE geometry in Alexandria
Kinematic intensities with the Lorentz-polarization factor, no thermal factor.

Largest 10 diffraction maxima, sorted by position, 5 to 70 degrees two-theta:
- 14.5 deg, I = 28.1, (2 0 0)
- 25.3 deg, I = 93.5, (2 2 2)
- 29.3 deg, I = 100.0, (4 0 0)
- 32.8 deg, I = 14.2, (4 2 0)
- 41.9 deg, I = 73.3, (4 4 0)
- 49.6 deg, I = 41.8, (6 2 2)
- 51.9 deg, I = 25.4, (4 4 4)
- 60.7 deg, I = 11.7, (8 0 0)
- 66.9 deg, I = 16.3, (6 6 2)
- 68.8 deg, I = 31.6, (8 4 0)

Unit cell a=12.198 b=12.198 c=12.198 alpha=90.00 beta=90.00 gamma=90.00
Space group Fm-3m (No. 225)
Asymmetric unit:
1 Rb 0.250 0.250 0.250
2 Zr 0.000 0.000 0.000
3 Ga 0.000 0.000 0.500
4 I 0.000 0.000 0.240

No. 10
Computed X-ray powder pattern
Compound: GaS5I
Radiation: Cu Kα, 1.54184 Å
Structure: the PBE geometry in Alexandria
Kinematic intensities with the Lorentz-polarization factor, no thermal factor.

Largest 10 diffraction maxima, sorted by position, 5 to 70 degrees two-theta:
- 10.5 deg, I = 100.0, (0 0 1)
- 18.6 deg, I = 33.2, (0 1 1)
- 21.0 deg, I = 22.7, (0 0 2)
- 21.5 deg, I = 37.6, (0 1 -2)
- 25.0 deg, I = 23.1, (0 2 -1)
- 25.6 deg, I = 14.5, (0 2 0)
- 26.0 deg, I = 12.6, (1 -1 0)
- 27.4 deg, I = 20.9, (1 -1 1)
- 28.9 deg, I = 22.4, (-1 1 1)
- 43.1 deg, I = 18.9, (1 -2 3)

Unit cell a=3.839 b=7.214 c=8.765 alpha=105.21 beta=93.00 gamma=91.86
Space group P1 (No. 1)
Asymmetric unit:
1 Ga 0.000 0.000 0.000
2 S 0.093 0.629 0.450
3 S 0.493 0.050 0.171
4 S 0.670 0.498 0.491
5 S 0.687 0.766 0.070
6 S 0.963 0.091 0.779
7 I 0.235 0.414 0.896

No. 11
Computed X-ray powder pattern
Compound: GaSbI
Radiation: Cu Kα, 1.54184 Å
Structure: the PBE geometry in Alexandria
Kinematic intensities with the Lorentz-polarization factor, no thermal factor.

Largest 10 diffraction maxima, sorted by position, 5 to 70 degrees two-theta:
- 23.3 deg, I = 33.7, (0 0 2)
- 23.8 deg, I = 100.0, (2 0 -2)
- 28.0 deg, I = 75.7, (0 2 0)
- 28.1 deg, I = 59.6, (2 1 0)
- 30.5 deg, I = 32.9, (1 2 -1)
- 31.3 deg, I = 47.6, (1 0 2)
- 37.1 deg, I = 38.1, (2 2 -2)
- 42.5 deg, I = 30.2, (1 2 2)
- 44.3 deg, I = 28.3, (2 1 2)
- 45.3 deg, I = 39.2, (4 1 -2)

Unit cell a=8.444 b=6.377 c=8.826 alpha=90.00 beta=119.94 gamma=90.00
Space group P2_1/c (No. 14)
Asymmetric unit:
1 Ga 0.249 0.227 0.377
2 Sb 0.463 0.216 0.228
3 I 0.113 0.682 0.860

No. 12
Computed X-ray powder pattern
Compound: Ga2Se2I
Radiation: Cu Kα, 1.54184 Å
Structure: the PBE geometry in Alexandria
Kinematic intensities with the Lorentz-polarization factor, no thermal factor.

Largest 10 diffraction maxima, sorted by position, 5 to 70 degrees two-theta:
- 14.0 deg, I = 72.5, (1 0 1)
- 21.7 deg, I = 34.8, (2 0 0)
- 23.5 deg, I = 49.6, (1 1 2)
- 25.9 deg, I = 100.0, (2 1 1)
- 28.9 deg, I = 72.2, (1 0 3)
- 39.1 deg, I = 28.3, (3 1 2)
- 40.7 deg, I = 75.3, (3 2 1)
- 44.2 deg, I = 34.4, (4 0 0)
- 48.0 deg, I = 60.7, (2 2 4)
- 53.6 deg, I = 20.6, (4 1 3)

Unit cell a=8.205 b=8.205 c=10.001 alpha=90.00 beta=90.00 gamma=90.00
Space group I4_1md (No. 109)
Asymmetric unit:
1 Ga 0.000 0.305 0.000
2 Se 0.000 0.238 0.756
3 I 0.000 0.000 0.117

No. 13
Computed X-ray powder pattern
Compound: Ga2SeI2
Radiation: Cu Kα, 1.54184 Å
Structure: the PBE geometry in Alexandria
Kinematic intensities with the Lorentz-polarization factor, no thermal factor.

Largest 10 diffraction maxima, sorted by position, 5 to 70 degrees two-theta:
- 13.1 deg, I = 69.3, (0 1 0)
- 21.0 deg, I = 18.7, (0 1 1)
- 24.2 deg, I = 100.0, (1 1 -2)
- 24.8 deg, I = 33.2, (1 1 1)
- 24.9 deg, I = 17.4, (2 0 0)
- 26.7 deg, I = 42.4, (1 2 -1)
- 33.3 deg, I = 31.1, (2 1 1)
- 42.8 deg, I = 19.3, (2 0 -3)
- 44.9 deg, I = 27.6, (3 2 -1)
- 48.0 deg, I = 16.0, (2 -3 3)

Unit cell a=7.164 b=7.551 c=8.521 alpha=116.13 beta=91.76 gamma=90.01
Space group P-1 (No. 2)
Asymmetric unit:
1 Ga 0.057 0.051 0.393
2 Ga 0.443 0.158 0.606
3 Se 0.250 0.341 0.499
4 I 0.240 0.013 0.822
5 I 0.260 0.691 0.179